This entry pairs a crystal structure of BaCoH2Cl2O2 with its simulated XRD peak list. Radiation: Cu Kα (λ = 1.5418 Å). Structure: the PBE+U geometry in OQMD.
Intensities are scaled so that the largest is 100.

The 8 most intense peaks (10 to 90 degrees two-theta), low angle first:
2theta, I/Imax
17.33, 64.9
26.71, 30.3
28.12, 100.0
32.02, 42.7
37.71, 94.7
47.17, 42.7
50.62, 23.7
61.90, 20.6

Atomic structure:
```
BaCoH2Cl2O2
1.0
3.854 0.000 0.000
-1.927 3.338 0.000
0.000 0.000 10.232
Ba Co H Cl O
1 1 2 2 2
Direct
0.000 0.000 0.000
0.333 0.667 0.501
0.667 0.333 0.208
0.667 0.333 0.652
0.000 0.000 0.361
0.333 0.667 0.789
0.667 0.333 0.113
0.667 0.333 0.556
```

***

This entry pairs a crystal structure of Ba2Co4ClO7 with its simulated XRD peak list. Radiation: Cu Kα (λ = 1.5418 Å). Structure: the PBE+U geometry in OQMD.
Intensities are scaled so that the largest is 100.

The 8 most intense peaks (10 to 90 degrees two-theta), low angle first:
2theta, I/Imax
18.36, 23.3
29.72, 38.7
31.31, 100.0
33.19, 37.6
33.56, 25.6
43.72, 41.4
46.28, 50.6
65.34, 26.7

Atomic structure:
```
Ba2Co4ClO7
1.0
2.856 1.649 15.029
-2.856 1.649 15.029
0.000 -3.298 15.029
Ba Co Cl O
4 8 2 14
Direct
0.071 0.071 0.071
0.210 0.210 0.210
0.790 0.790 0.790
0.929 0.929 0.929
0.000 0.000 0.000
0.000 0.500 0.500
0.281 0.281 0.281
0.398 0.398 0.398
0.500 0.000 0.500
0.500 0.500 0.000
0.602 0.602 0.602
0.719 0.719 0.719
0.140 0.140 0.140
0.860 0.860 0.860
0.056 0.589 0.589
0.156 0.156 0.616
0.156 0.616 0.156
0.355 0.355 0.355
0.384 0.844 0.844
0.411 0.411 0.944
0.411 0.944 0.411
0.589 0.056 0.589
0.589 0.589 0.056
0.616 0.156 0.156
0.645 0.645 0.645
0.844 0.384 0.844
0.844 0.844 0.384
0.944 0.411 0.411
```